This entry pairs a crystal structure of Dy2ErFe7Ni2 with its theoretical powder diffraction line list. Radiation: Cu Kα (weighted mean of Kα1 and Kα2). Structure: DFT lattice parameters and positions (GGA-PBE).
Lines closer than 0.1° are merged.

Atomic structure:
```
data_Dy2ErFe7Ni2
_space_group_name_H-M_alt 'P 1'
_space_group_IT_number 1
_cell_length_a 8.690
_cell_length_b 8.690
_cell_length_c 8.690
_cell_angle_alpha 33.39
_cell_angle_beta 33.39
_cell_angle_gamma 33.39
loop_
_space_group_symop_operation_xyz
'x,y,z'
loop_
_atom_site_label
_atom_site_fract_x
_atom_site_fract_y
_atom_site_fract_z
Dy1 0.142 0.142 0.142
Dy2 0.858 0.858 0.858
Er1 0.000 0.000 0.000
Fe1 0.083 0.582 0.582
Fe2 0.418 0.418 0.917
Fe3 0.418 0.917 0.418
Fe4 0.500 0.500 0.500
Fe5 0.582 0.083 0.582
Fe6 0.582 0.582 0.083
Fe7 0.917 0.418 0.418
Ni1 0.333 0.333 0.333
Ni2 0.667 0.667 0.667
```

Largest 8 diffraction maxima, sorted by position, 2θ = 10–90°:
two_theta	Rel. int.
32.85	49
35.84	32
35.98	52
41.96	33
42.40	100
64.63	21
69.09	22
76.30	18

***

This entry pairs a crystal structure of DyErFe2Pb with its theoretical powder diffraction line list. Radiation: Cu Kα (weighted mean of Kα1 and Kα2). Structure: DFT lattice parameters and positions (GGA-PBE).
Lines closer than 0.1° are merged.

Atomic structure:
```
data_DyErFe2Pb
_space_group_name_H-M_alt 'P 1'
_space_group_IT_number 1
_cell_length_a 3.789
_cell_length_b 7.369
_cell_length_c 7.369
_cell_angle_alpha 30.78
_cell_angle_beta 90.00
_cell_angle_gamma 90.00
loop_
_space_group_symop_operation_xyz
'x,y,z'
loop_
_atom_site_label
_atom_site_fract_x
_atom_site_fract_y
_atom_site_fract_z
Dy1 0.000 0.000 0.000
Er1 0.000 0.277 0.277
Fe1 0.500 0.432 0.432
Fe2 0.500 0.844 0.844
Pb1 0.500 0.639 0.639
```

Largest 8 diffraction maxima, sorted by position, 2θ = 10–90°:
two_theta	Rel. int.
29.62	54
33.53	100
34.61	73
39.18	31
46.43	21
48.03	19
56.56	20
59.19	31

***

This entry pairs a crystal structure of Dy3Er4Fe2Te2 with its theoretical powder diffraction line list. Radiation: Cu Kα (weighted mean of Kα1 and Kα2). Structure: DFT lattice parameters and positions (GGA-PBE).
Lines closer than 0.1° are merged.

Atomic structure:
```
data_Dy3Er4Fe2Te2
_space_group_name_H-M_alt 'P 1'
_space_group_IT_number 1
_cell_length_a 9.310
_cell_length_b 9.310
_cell_length_c 9.310
_cell_angle_alpha 156.03
_cell_angle_beta 65.30
_cell_angle_gamma 120.27
loop_
_space_group_symop_operation_xyz
'x,y,z'
loop_
_atom_site_label
_atom_site_fract_x
_atom_site_fract_y
_atom_site_fract_z
Dy1 0.000 0.000 0.000
Dy2 0.086 0.736 0.349
Dy3 0.387 0.736 0.651
Er1 0.062 0.376 0.686
Er2 0.446 0.583 0.864
Er3 0.690 0.376 0.314
Er4 0.719 0.583 0.136
Fe1 0.305 0.067 0.238
Fe2 0.829 0.067 0.762
Te1 0.337 0.337 0.000
Te2 0.733 0.233 0.500
```

Largest 8 diffraction maxima, sorted by position, 2θ = 10–90°:
two_theta	Rel. int.
28.72	24
30.65	54
33.69	83
33.98	100
34.32	30
34.75	62
47.01	31
59.08	33

***

This entry pairs a crystal structure of Dy4ErTm2Fe2Te2 with its theoretical powder diffraction line list. Radiation: Cu Kα (weighted mean of Kα1 and Kα2). Structure: DFT lattice parameters and positions (GGA-PBE).
Lines closer than 0.1° are merged.

Atomic structure:
```
data_Dy4ErTm2Fe2Te2
_space_group_name_H-M_alt 'P 1'
_space_group_IT_number 1
_cell_length_a 9.320
_cell_length_b 9.320
_cell_length_c 9.320
_cell_angle_alpha 156.07
_cell_angle_beta 65.82
_cell_angle_gamma 119.70
loop_
_space_group_symop_operation_xyz
'x,y,z'
loop_
_atom_site_label
_atom_site_fract_x
_atom_site_fract_y
_atom_site_fract_z
Dy1 0.136 0.000 0.136
Dy2 0.499 0.149 0.351
Dy3 0.798 0.149 0.649
Dy4 0.864 0.000 0.864
Er1 0.418 0.418 0.000
Tm1 0.107 0.795 0.313
Tm2 0.482 0.795 0.687
Fe1 0.251 0.487 0.764
Fe2 0.723 0.487 0.236
Te1 0.155 0.655 0.500
Te2 0.753 0.753 0.000
```

Largest 8 diffraction maxima, sorted by position, 2θ = 10–90°:
two_theta	Rel. int.
30.54	53
33.46	82
33.99	100
34.39	28
34.67	56
37.02	26
47.04	32
58.95	33

***

This entry pairs a crystal structure of DyErTlFe2 with its theoretical powder diffraction line list. Radiation: Cu Kα (weighted mean of Kα1 and Kα2). Structure: DFT lattice parameters and positions (GGA-PBE).
Lines closer than 0.1° are merged.

Atomic structure:
```
data_DyErTlFe2
_space_group_name_H-M_alt 'P 1'
_space_group_IT_number 1
_cell_length_a 3.935
_cell_length_b 7.178
_cell_length_c 7.178
_cell_angle_alpha 30.57
_cell_angle_beta 90.00
_cell_angle_gamma 90.00
loop_
_space_group_symop_operation_xyz
'x,y,z'
loop_
_atom_site_label
_atom_site_fract_x
_atom_site_fract_y
_atom_site_fract_z
Dy1 0.000 0.000 0.000
Er1 0.000 0.279 0.279
Tl1 0.500 0.640 0.640
Fe1 0.500 0.429 0.429
Fe2 0.500 0.849 0.849
```

Largest 8 diffraction maxima, sorted by position, 2θ = 10–90°:
two_theta	Rel. int.
30.54	53
33.48	100
34.51	78
40.35	27
46.14	22
48.08	20
56.35	20
60.52	31

***

This entry pairs a crystal structure of DyErGa5 with its theoretical powder diffraction line list. Radiation: Cu Kα (weighted mean of Kα1 and Kα2). Structure: DFT lattice parameters and positions (GGA-PBE).
Lines closer than 0.1° are merged.

Atomic structure:
```
data_DyErGa5
_space_group_name_H-M_alt 'P 1'
_space_group_IT_number 1
_cell_length_a 4.211
_cell_length_b 4.211
_cell_length_c 8.299
_cell_angle_alpha 90.00
_cell_angle_beta 90.00
_cell_angle_gamma 90.00
loop_
_space_group_symop_operation_xyz
'x,y,z'
loop_
_atom_site_label
_atom_site_fract_x
_atom_site_fract_y
_atom_site_fract_z
Dy1 0.000 0.000 0.000
Er1 0.000 0.000 0.500
Ga1 0.000 0.500 0.255
Ga2 0.000 0.500 0.745
Ga3 0.500 0.000 0.255
Ga4 0.500 0.000 0.745
Ga5 0.500 0.500 0.000
```

Largest 8 diffraction maxima, sorted by position, 2θ = 10–90°:
two_theta	Rel. int.
21.10	28
30.24	23
37.17	100
42.96	33
43.62	16
62.89	21
74.90	25
75.84	12

***

This entry pairs a crystal structure of LaDy2ErGa4 with its theoretical powder diffraction line list. Radiation: Cu Kα (weighted mean of Kα1 and Kα2). Structure: DFT lattice parameters and positions (GGA-PBE).
Lines closer than 0.1° are merged.

Atomic structure:
```
data_LaDy2ErGa4
_space_group_name_H-M_alt 'P 1'
_space_group_IT_number 1
_cell_length_a 6.724
_cell_length_b 6.930
_cell_length_c 6.930
_cell_angle_alpha 37.38
_cell_angle_beta 90.00
_cell_angle_gamma 90.00
loop_
_space_group_symop_operation_xyz
'x,y,z'
loop_
_atom_site_label
_atom_site_fract_x
_atom_site_fract_y
_atom_site_fract_z
La1 0.000 0.000 0.000
Dy1 0.000 0.722 0.722
Dy2 0.500 0.167 0.167
Er1 0.500 0.892 0.892
Ga1 0.198 0.344 0.344
Ga2 0.311 0.543 0.543
Ga3 0.689 0.543 0.543
Ga4 0.802 0.344 0.344
```

Largest 8 diffraction maxima, sorted by position, 2θ = 10–90°:
two_theta	Rel. int.
26.51	15
30.30	26
31.64	100
34.14	55
38.32	18
39.88	17
40.63	26
49.21	21

***

This entry pairs a crystal structure of DyEr2Ga3NiSn2 with its theoretical powder diffraction line list. Radiation: Cu Kα (weighted mean of Kα1 and Kα2). Structure: DFT lattice parameters and positions (GGA-PBE).
Lines closer than 0.1° are merged.

Atomic structure:
```
data_DyEr2Ga3NiSn2
_space_group_name_H-M_alt 'P 1'
_space_group_IT_number 1
_cell_length_a 4.242
_cell_length_b 7.263
_cell_length_c 7.263
_cell_angle_alpha 120.32
_cell_angle_beta 90.00
_cell_angle_gamma 90.00
loop_
_space_group_symop_operation_xyz
'x,y,z'
loop_
_atom_site_label
_atom_site_fract_x
_atom_site_fract_y
_atom_site_fract_z
Dy1 0.000 0.000 0.000
Er1 0.000 0.244 0.621
Er2 0.000 0.621 0.244
Ga1 0.500 0.399 0.399
Ga2 0.500 0.620 0.840
Ga3 0.500 0.840 0.620
Ni1 0.000 0.618 0.618
Sn1 0.500 0.289 0.953
Sn2 0.500 0.953 0.289
```

Largest 8 diffraction maxima, sorted by position, 2θ = 10–90°:
two_theta	Rel. int.
24.51	13
32.49	100
35.61	25
37.84	15
42.63	21
43.29	18
43.64	12
62.38	12

***

This entry pairs a crystal structure of SmDyEr2Ga2 with its theoretical powder diffraction line list. Radiation: Cu Kα (weighted mean of Kα1 and Kα2). Structure: DFT lattice parameters and positions (GGA-PBE).
Lines closer than 0.1° are merged.

Atomic structure:
```
data_SmDyEr2Ga2
_space_group_name_H-M_alt 'P 1'
_space_group_IT_number 1
_cell_length_a 5.165
_cell_length_b 5.165
_cell_length_c 6.582
_cell_angle_alpha 90.00
_cell_angle_beta 90.00
_cell_angle_gamma 120.00
loop_
_space_group_symop_operation_xyz
'x,y,z'
loop_
_atom_site_label
_atom_site_fract_x
_atom_site_fract_y
_atom_site_fract_z
Sm1 0.000 0.000 0.000
Dy1 0.333 0.667 0.500
Er1 0.667 0.333 0.252
Er2 0.667 0.333 0.748
Ga1 0.000 0.000 0.500
Ga2 0.333 0.667 0.000
```

Largest 8 diffraction maxima, sorted by position, 2θ = 10–90°:
two_theta	Rel. int.
24.05	15
33.81	100
34.73	92
49.26	35
61.68	35
62.26	17
67.49	27
83.22	15

***

This entry pairs a crystal structure of Dy2ErTmGa2 with its theoretical powder diffraction line list. Radiation: Cu Kα (weighted mean of Kα1 and Kα2). Structure: DFT lattice parameters and positions (GGA-PBE).
Lines closer than 0.1° are merged.

Atomic structure:
```
data_Dy2ErTmGa2
_space_group_name_H-M_alt 'P 1'
_space_group_IT_number 1
_cell_length_a 5.136
_cell_length_b 5.136
_cell_length_c 6.531
_cell_angle_alpha 90.00
_cell_angle_beta 90.00
_cell_angle_gamma 120.00
loop_
_space_group_symop_operation_xyz
'x,y,z'
loop_
_atom_site_label
_atom_site_fract_x
_atom_site_fract_y
_atom_site_fract_z
Dy1 0.000 0.000 0.250
Dy2 0.000 0.000 0.750
Er1 0.667 0.333 0.000
Tm1 0.333 0.667 0.500
Ga1 0.333 0.667 0.000
Ga2 0.667 0.333 0.500
```

Largest 8 diffraction maxima, sorted by position, 2θ = 10–90°:
two_theta	Rel. int.
24.21	20
34.06	100
34.94	95
49.59	35
62.09	35
62.66	18
68.04	27
83.83	15

***

This entry pairs a crystal structure of Gd3Dy3Er2 with its theoretical powder diffraction line list. Radiation: Cu Kα (weighted mean of Kα1 and Kα2). Structure: DFT lattice parameters and positions (GGA-PBE).
Lines closer than 0.1° are merged.

Atomic structure:
```
data_Gd3Dy3Er2
_space_group_name_H-M_alt 'P 1'
_space_group_IT_number 1
_cell_length_a 5.639
_cell_length_b 7.209
_cell_length_c 7.209
_cell_angle_alpha 60.00
_cell_angle_beta 90.00
_cell_angle_gamma 90.00
loop_
_space_group_symop_operation_xyz
'x,y,z'
loop_
_atom_site_label
_atom_site_fract_x
_atom_site_fract_y
_atom_site_fract_z
Gd1 0.000 0.000 0.000
Gd2 0.500 0.333 0.833
Gd3 0.500 0.833 0.333
Dy1 0.000 0.000 0.501
Dy2 0.000 0.501 0.000
Dy3 0.500 0.334 0.334
Er1 0.000 0.500 0.500
Er2 0.500 0.834 0.834
```

Largest 8 diffraction maxima, sorted by position, 2θ = 10–90°:
two_theta	Rel. int.
28.60	24
31.74	24
32.79	100
43.24	16
50.65	20
57.21	21
61.02	23
61.66	16

***

This entry pairs a crystal structure of Gd3Dy3Er2 with its theoretical powder diffraction line list. Radiation: Cu Kα (weighted mean of Kα1 and Kα2). Structure: DFT lattice parameters and positions (GGA-PBE).
Lines closer than 0.1° are merged.

Atomic structure:
```
data_Gd3Dy3Er2
_space_group_name_H-M_alt 'P 1'
_space_group_IT_number 1
_cell_length_a 7.209
_cell_length_b 7.209
_cell_length_c 5.639
_cell_angle_alpha 90.00
_cell_angle_beta 90.00
_cell_angle_gamma 120.00
loop_
_space_group_symop_operation_xyz
'x,y,z'
loop_
_atom_site_label
_atom_site_fract_x
_atom_site_fract_y
_atom_site_fract_z
Gd1 0.001 0.500 0.000
Gd2 0.500 0.500 0.000
Gd3 0.500 0.999 0.000
Dy1 0.333 0.167 0.500
Dy2 0.833 0.167 0.500
Dy3 0.833 0.667 0.500
Er1 0.000 0.000 0.000
Er2 0.333 0.667 0.500
```

Largest 8 diffraction maxima, sorted by position, 2θ = 10–90°:
two_theta	Rel. int.
28.59	24
31.74	24
32.79	100
43.24	16
50.65	20
57.21	21
61.02	23
61.66	16

***

Repeat the third record exactly.
This entry pairs a crystal structure of Dy3Er4Fe2Te2 with its theoretical powder diffraction line list. Radiation: Cu Kα (weighted mean of Kα1 and Kα2). Structure: DFT lattice parameters and positions (GGA-PBE).
Lines closer than 0.1° are merged.

Atomic structure:
```
data_Dy3Er4Fe2Te2
_space_group_name_H-M_alt 'P 1'
_space_group_IT_number 1
_cell_length_a 9.310
_cell_length_b 9.310
_cell_length_c 9.310
_cell_angle_alpha 156.03
_cell_angle_beta 65.30
_cell_angle_gamma 120.27
loop_
_space_group_symop_operation_xyz
'x,y,z'
loop_
_atom_site_label
_atom_site_fract_x
_atom_site_fract_y
_atom_site_fract_z
Dy1 0.000 0.000 0.000
Dy2 0.086 0.736 0.349
Dy3 0.387 0.736 0.651
Er1 0.062 0.376 0.686
Er2 0.446 0.583 0.864
Er3 0.690 0.376 0.314
Er4 0.719 0.583 0.136
Fe1 0.305 0.067 0.238
Fe2 0.829 0.067 0.762
Te1 0.337 0.337 0.000
Te2 0.733 0.233 0.500
```

Largest 8 diffraction maxima, sorted by position, 2θ = 10–90°:
two_theta	Rel. int.
28.72	24
30.65	54
33.69	83
33.98	100
34.32	30
34.75	62
47.01	31
59.08	33